(1)
For Tm3Ga, DFT lattice parameters and positions (PBE) gives the theoretical PXRD pattern in this record (Cu Kα X-rays).

Crystal structure
```
Tm3Ga
1.0
6.676 0.000 0.000
-3.338 5.782 0.000
0.000 0.000 5.224
Tm Ga
6 2
direct
0.174 0.347 0.250
0.174 0.826 0.250
0.347 0.174 0.750
0.653 0.826 0.250
0.826 0.174 0.750
0.826 0.653 0.750
0.333 0.667 0.750
0.667 0.333 0.250
```

Principal peaks in the range 10 to 90 degrees two-theta, low angle first:
d/Å, 2theta, Rel. int.
3.876, 22.94, 11
2.891, 30.93, 24
2.612, 34.33, 25
2.529, 35.49, 100
1.938, 46.88, 15
1.669, 55.02, 20
1.492, 62.24, 20
1.406, 66.48, 21
1.393, 67.20, 15
1.112, 87.76, 8

=====

(2)
For Eu2CN2O2, DFT lattice parameters and positions (PBE) gives the theoretical PXRD pattern in this record (Cu Kα X-rays).

Crystal structure
```
Eu2CN2O2
1.0
3.862 0.000 0.000
-1.931 3.345 0.000
0.000 0.000 8.354
Eu C N O
2 1 2 2
direct
0.333 0.667 0.321
0.667 0.333 0.679
0.000 0.000 0.000
0.000 0.000 0.148
0.000 0.000 0.852
0.333 0.667 0.603
0.667 0.333 0.397
```

Principal peaks in the range 10 to 90 degrees two-theta, low angle first:
d/Å, 2theta, Rel. int.
8.354, 10.59, 44
4.177, 21.27, 18
3.345, 26.65, 17
3.105, 28.75, 100
2.785, 32.14, 18
2.611, 34.35, 42
2.140, 42.23, 21
1.931, 47.06, 29
1.772, 51.59, 24
1.587, 58.13, 20

=====

(3)
For DyMg2Cr3S8, DFT lattice parameters and positions (PBE) gives the theoretical PXRD pattern in this record (Cu Kα X-rays).

Crystal structure
```
DyMg2Cr3S8
1.0
3.684 2.127 6.090
-3.684 2.127 6.090
0.000 -4.254 6.090
Dy Mg Cr S
1 2 3 8
direct
0.000 0.000 0.000
0.375 0.375 0.375
0.625 0.625 0.625
0.000 0.000 0.500
0.000 0.500 0.000
0.500 0.000 0.000
0.220 0.745 0.745
0.236 0.236 0.236
0.255 0.255 0.780
0.255 0.780 0.255
0.745 0.220 0.745
0.745 0.745 0.220
0.764 0.764 0.764
0.780 0.255 0.255
```

Principal peaks in the range 10 to 90 degrees two-theta, low angle first:
d/Å, 2theta, Rel. int.
6.025, 14.70, 100
5.232, 16.95, 20
3.684, 24.16, 21
3.171, 28.14, 34
3.152, 28.31, 72
2.616, 34.28, 93
2.013, 45.04, 24
2.008, 45.15, 20
1.857, 49.05, 39
1.842, 49.48, 45

=====

(4)
For Mg6NiB, DFT lattice parameters and positions (PBE) gives the theoretical PXRD pattern in this record (Cu Kα X-rays).

Crystal structure
```
Mg6NiB
1.0
3.546 0.000 0.000
0.000 4.093 5.396
0.000 -4.093 5.396
Mg Ni B
6 1 1
direct
0.000 0.000 0.000
0.000 0.083 0.461
0.000 0.461 0.083
0.500 0.326 0.750
0.500 0.750 0.326
0.500 0.773 0.773
0.000 0.453 0.453
0.500 0.384 0.384
```

Principal peaks in the range 10 to 90 degrees two-theta, low angle first:
d/Å, 2theta, Rel. int.
6.522, 13.58, 63
5.396, 16.43, 30
3.261, 27.35, 24
3.115, 28.65, 28
2.698, 33.20, 21
2.400, 37.47, 100
2.253, 40.02, 14
2.174, 41.54, 24
1.799, 50.76, 18
1.773, 51.55, 16

=====

(5)
For Ni3Au, DFT lattice parameters and positions (PBE) gives the theoretical PXRD pattern in this record (Cu Kα X-rays).

Crystal structure
```
Ni3Au
1.0
-1.837 1.837 3.741
1.837 -1.837 3.741
1.837 1.837 -3.741
Ni Au
3 1
direct
0.000 0.000 0.000
0.250 0.750 0.500
0.750 0.250 0.500
0.500 0.500 0.000
```

Principal peaks in the range 10 to 90 degrees two-theta, low angle first:
d/Å, 2theta, Rel. int.
3.741, 23.79, 12
3.298, 27.04, 37
2.598, 34.53, 10
2.134, 42.36, 100
2.063, 43.88, 11
1.870, 48.68, 17
1.837, 49.63, 31
1.311, 72.06, 20
1.124, 86.59, 12
1.109, 88.03, 24

=====

(6)
For Lu2Al9Rh3, DFT lattice parameters and positions (PBE) gives the theoretical PXRD pattern in this record (Cu Kα X-rays).

Crystal structure
```
Lu2Al9Rh3
1.0
6.501 -3.786 0.000
6.501 3.786 0.000
0.000 0.000 9.412
Lu Al Rh
4 18 6
direct
0.004 0.669 0.750
0.331 0.996 0.750
0.669 0.004 0.250
0.996 0.331 0.250
0.000 0.335 0.574
0.000 0.335 0.926
0.000 0.665 0.074
0.000 0.665 0.426
0.125 0.875 0.250
0.333 0.667 0.555
0.333 0.667 0.945
0.335 0.000 0.074
0.335 0.000 0.426
0.338 0.451 0.250
0.451 0.338 0.750
0.549 0.662 0.250
0.662 0.549 0.750
0.665 0.000 0.574
0.665 0.000 0.926
0.667 0.333 0.055
0.667 0.333 0.445
0.875 0.125 0.750
0.000 0.000 0.000
0.000 0.000 0.500
0.328 0.328 0.000
0.328 0.328 0.500
0.672 0.672 0.000
0.672 0.672 0.500
```

Principal peaks in the range 10 to 90 degrees two-theta, low angle first:
d/Å, 2theta, Rel. int.
5.373, 16.50, 36
3.493, 25.50, 63
2.950, 30.30, 51
2.938, 30.42, 99
2.416, 37.22, 36
2.409, 37.32, 73
2.353, 38.25, 45
2.181, 41.40, 100
2.167, 41.68, 44
1.600, 57.62, 41

=====

(7)
For Pu3Au, DFT lattice parameters and positions (PBE) gives the theoretical PXRD pattern in this record (Cu Kα X-rays).

Crystal structure
```
Pu3Au
1.0
3.297 -5.704 0.000
3.297 5.704 0.000
0.000 0.000 5.326
Pu Au
6 2
direct
0.172 0.345 0.750
0.172 0.828 0.750
0.345 0.172 0.250
0.655 0.828 0.750
0.828 0.172 0.250
0.828 0.655 0.250
0.333 0.667 0.250
0.667 0.333 0.750
```

Principal peaks in the range 10 to 90 degrees two-theta, low angle first:
d/Å, 2theta, Rel. int.
2.854, 31.34, 23
2.663, 33.65, 26
2.516, 35.69, 100
1.947, 46.65, 16
1.648, 55.79, 19
1.508, 61.51, 21
1.401, 66.76, 22
1.378, 68.02, 16
1.258, 75.60, 4
1.112, 87.76, 8